Starting from DFT lattice parameters and positions (PBE+U), the X-ray powder pattern of NdSc2WO8 was computed for Cu Kα.
Neutral-atom scattering factors, no anomalous dispersion.

Top 8 peaks for 2θ from 10° to 90°, low angle first:
- d = 4.856 Å, 2θ = 18.3°, I = 64
- d = 3.434 Å, 2θ = 25.9°, I = 100
- d = 2.780 Å, 2θ = 32.2°, I = 82
- d = 2.428 Å, 2θ = 37.0°, I = 21
- d = 2.414 Å, 2θ = 37.2°, I = 28
- d = 1.829 Å, 2θ = 49.9°, I = 68
- d = 1.520 Å, 2θ = 60.9°, I = 17
- d = 1.461 Å, 2θ = 63.7°, I = 20

Atomic structure:
abc: 4.8563 4.8563 6.7813
angles: 90.00 90.00 90.18
Element x y z (fractional)
Nd: 0.0000 0.0000 0.0000
Sc: 0.5000 0.5000 0.2625
Sc: 0.5000 0.5000 0.7375
W: 0.0000 0.0000 0.5000
O: 0.1942 0.8058 0.2919
O: 0.1942 0.8058 0.7081
O: 0.2886 0.2886 0.5000
O: 0.3310 0.3310 0.0000
O: 0.6690 0.6690 0.0000
O: 0.7114 0.7114 0.5000
O: 0.8058 0.1942 0.2919
O: 0.8058 0.1942 0.7081